(1)
Calculated powder diffractogram of Ti4AlRe3 for Cu Kα, from a DFT-relaxed cell (GGA-PBE, Alexandria).
No peak broadening, texture or thermal motion is included.

Principal peaks in the range 2θ = 10–80°, by angle:
| d/Å | intensity | h k l |
| --- | --- | --- |
| 8.776 | 25 | 0 0 1 |
| 3.172 | 17 | 1 0 0 |
| 3.109 | 32 | 0 1 2 |
| 2.220 | 100 | 1 1 2 |
| 2.203 | 25 | 0 2 0 |
| 2.194 | 24 | 0 0 4 |
| 1.554 | 16 | 0 2 4 |
| 1.275 | 16 | 1 3 2 |

Cell and atoms:
```
data_Ti4AlRe3
_cell_length_a 3.172
_cell_length_b 4.406
_cell_length_c 8.776
_cell_angle_alpha 90.00
_cell_angle_beta 90.00
_cell_angle_gamma 90.00
_symmetry_space_group_name_H-M 'P m m m'
_symmetry_Int_Tables_number 47
_symmetry_space_group_name_Hall '-P 2 2'
loop_
_atom_site_label
_atom_site_type_symbol
_atom_site_fract_x
_atom_site_fract_y
_atom_site_fract_z
_atom_site_occupancy
Ti1 Ti 0.000 0.000 0.000 1
Ti2 Ti 0.000 0.000 0.500 1
Ti3 Ti 0.000 0.500 0.241 1
Al1 Al 0.500 0.500 0.500 1
Re1 Re 0.500 0.000 0.256 1
Re2 Re 0.500 0.500 0.000 1
```

(2)
Calculated powder diffractogram of Tm5Sb4P for Cu Kα, from a DFT-relaxed cell (GGA-PBE, Alexandria).
No peak broadening, texture or thermal motion is included.

Principal peaks in the range 2θ = 10–80°, by angle:
| d/Å | intensity | h k l |
| --- | --- | --- |
| 3.482 | 16 | 1 2 1 |
| 3.024 | 46 | 0 0 2 |
| 3.011 | 90 | 3 1 0 |
| 2.132 | 100 | 3 1 2 |
| 1.741 | 34 | 2 4 2 |
| 1.351 | 16 | 3 1 4 |
| 1.347 | 26 | 6 2 2 |
| 1.230 | 19 | 1 7 2 |

Cell and atoms:
```
data_Tm5Sb4P
_cell_length_a 9.521
_cell_length_b 9.521
_cell_length_c 6.048
_cell_angle_alpha 90.00
_cell_angle_beta 90.00
_cell_angle_gamma 90.00
_symmetry_space_group_name_H-M 'I 4/m'
_symmetry_Int_Tables_number 87
_symmetry_space_group_name_Hall '-I 4'
loop_
_atom_site_label
_atom_site_type_symbol
_atom_site_fract_x
_atom_site_fract_y
_atom_site_fract_z
_atom_site_occupancy
Tm1 Tm 0.000 0.000 0.000 1
Tm2 Tm 0.097 0.719 0.500 1
Sb1 Sb 0.094 0.697 0.000 1
P1 P 0.000 0.000 0.500 1
```

(3)
Calculated powder diffractogram of PuHgC2O8 for Cu Kα, from a DFT-relaxed cell (GGA-PBE, Alexandria).
No peak broadening, texture or thermal motion is included.

Principal peaks in the range 2θ = 10–80°, by angle:
| d/Å | intensity | h k l |
| --- | --- | --- |
| 4.497 | 100 | 1 1 0 |
| 4.048 | 44 | 0 0 2 |
| 3.862 | 35 | 2 0 0 |
| 3.424 | 22 | 2 0 -2 |
| 3.350 | 74 | 1 1 -2 |
| 2.754 | 37 | 1 1 2 |
| 2.334 | 22 | 3 1 0 |
| 2.283 | 28 | 0 2 2 |

Cell and atoms:
```
data_PuHgC2O8
_cell_length_a 8.197
_cell_length_b 5.531
_cell_length_c 8.590
_cell_angle_alpha 90.00
_cell_angle_beta 109.54
_cell_angle_gamma 90.00
_symmetry_space_group_name_H-M 'C 1 2/m 1'
_symmetry_Int_Tables_number 12
_symmetry_space_group_name_Hall '-C 2y'
loop_
_atom_site_label
_atom_site_type_symbol
_atom_site_fract_x
_atom_site_fract_y
_atom_site_fract_z
_atom_site_occupancy
Pu1 Pu 0.000 0.000 0.000 1
Hg1 Hg 0.000 0.000 0.500 1
C1 C 0.131 0.500 0.270 1
O1 O 0.077 0.297 0.202 1
O2 O 0.210 0.000 0.985 1
O3 O 0.236 0.500 0.427 1
```

(4)
Calculated powder diffractogram of SrLa2Au6 for Cu Kα, from a DFT-relaxed cell (GGA-PBE, Alexandria).
No peak broadening, texture or thermal motion is included.

Principal peaks in the range 2θ = 10–80°, by angle:
| d/Å | intensity | h k l |
| --- | --- | --- |
| 3.725 | 26 | 0 0 1 |
| 2.779 | 100 | 1 1 1 |
| 2.409 | 89 | 3 0 0 |
| 2.023 | 31 | 3 0 1 |
| 1.820 | 29 | 2 2 1 |
| 1.473 | 39 | 3 0 2 |
| 1.452 | 28 | 4 1 1 |
| 1.391 | 17 | 3 3 0 |

Cell and atoms:
```
data_SrLa2Au6
_cell_length_a 8.3459
_cell_length_b 8.3459
_cell_length_c 3.7246
_cell_angle_alpha 90.00
_cell_angle_beta 90.00
_cell_angle_gamma 120.00
_symmetry_space_group_name_H-M 'P 6/m m m'
_symmetry_Int_Tables_number 191
_symmetry_space_group_name_Hall '-P 6 2'
loop_
_atom_site_label
_atom_site_type_symbol
_atom_site_fract_x
_atom_site_fract_y
_atom_site_fract_z
_atom_site_occupancy
Sr1 Sr 0.0000 0.0000 0.0000 1
La1 La 0.3333 0.6667 0.0000 1
Au1 Au 0.0000 0.3340 0.5000 1
```

(5)
Calculated powder diffractogram of SbCl4F for Cu Kα, from a DFT-relaxed cell (GGA-PBE, Alexandria).
No peak broadening, texture or thermal motion is included.

Principal peaks in the range 2θ = 10–80°, by angle:
| d/Å | intensity | h k l |
| --- | --- | --- |
| 7.123 | 100 | 1 0 1 |
| 4.920 | 37 | 1 2 1 |
| 4.810 | 41 | 2 2 0 |
| 4.303 | 27 | 1 3 0 |
| 4.180 | 17 | 0 0 2 |
| 3.439 | 36 | 2 3 1 |
| 3.042 | 18 | 2 4 0 |
| 2.730 | 18 | 1 0 3 |

Cell and atoms:
```
data_SbCl4F
_cell_length_a 13.606
_cell_length_b 13.606
_cell_length_c 8.361
_cell_angle_alpha 90.00
_cell_angle_beta 90.00
_cell_angle_gamma 90.00
_symmetry_space_group_name_H-M 'I -4'
_symmetry_Int_Tables_number 82
_symmetry_space_group_name_Hall 'I -4'
loop_
_atom_site_label
_atom_site_type_symbol
_atom_site_fract_x
_atom_site_fract_y
_atom_site_fract_z
_atom_site_occupancy
Sb1 Sb 0.046 0.284 0.227 1
Cl1 Cl 0.038 0.329 0.957 1
Cl2 Cl 0.043 0.287 0.506 1
Cl3 Cl 0.059 0.851 0.202 1
Cl4 Cl 0.197 0.205 0.209 1
F1 F 0.077 0.619 0.247 1
```

(6)
Calculated powder diffractogram of RbSbCl6 for Cu Kα, from a DFT-relaxed cell (GGA-PBE, Alexandria).
No peak broadening, texture or thermal motion is included.

Principal peaks in the range 2θ = 10–80°, by angle:
| d/Å | intensity | h k l |
| --- | --- | --- |
| 5.918 | 100 | 1 1 -1 |
| 5.644 | 76 | 1 1 1 |
| 4.379 | 32 | 2 0 -2 |
| 3.968 | 25 | 2 0 2 |
| 3.314 | 39 | 2 2 0 |
| 2.907 | 30 | 3 1 2 |
| 2.755 | 30 | 1 1 -4 |
| 2.268 | 23 | 2 2 -4 |

Cell and atoms:
```
data_RbSbCl6
_cell_length_a 11.761
_cell_length_b 8.029
_cell_length_c 11.878
_cell_angle_alpha 90.00
_cell_angle_beta 95.64
_cell_angle_gamma 90.00
_symmetry_space_group_name_H-M 'C 1 2/c 1'
_symmetry_Int_Tables_number 15
_symmetry_space_group_name_Hall '-C 2yc'
loop_
_atom_site_label
_atom_site_type_symbol
_atom_site_fract_x
_atom_site_fract_y
_atom_site_fract_z
_atom_site_occupancy
Rb1 Rb 0.000 0.017 0.250 1
Sb1 Sb 0.250 0.250 0.000 1
Cl1 Cl 0.072 0.345 0.904 1
Cl2 Cl 0.168 0.025 0.518 1
Cl3 Cl 0.187 0.332 0.180 1
```

(7)
Calculated powder diffractogram of Li6Cd8Sn for Cu Kα, from a DFT-relaxed cell (GGA-PBE, Alexandria).
No peak broadening, texture or thermal motion is included.

Principal peaks in the range 2θ = 10–80°, by angle:
| d/Å | intensity | h k l |
| --- | --- | --- |
| 6.140 | 51 | 0 0 3 |
| 5.354 | 49 | 0 1 2 |
| 3.231 | 100 | 1 1 3 |
| 2.465 | 63 | 3 -1 1 |
| 2.454 | 59 | 2 0 5 |
| 2.401 | 71 | 1 2 2 |
| 2.388 | 49 | 1 1 6 |
| 2.061 | 38 | 3 -2 5 |

Cell and atoms:
```
data_Li6Cd8Sn
_cell_length_a 7.5975
_cell_length_b 7.5975
_cell_length_c 18.4200
_cell_angle_alpha 90.00
_cell_angle_beta 90.00
_cell_angle_gamma 120.00
_symmetry_space_group_name_H-M 'R -3'
_symmetry_Int_Tables_number 148
_symmetry_space_group_name_Hall '-R 3'
loop_
_atom_site_label
_atom_site_type_symbol
_atom_site_fract_x
_atom_site_fract_y
_atom_site_fract_z
_atom_site_occupancy
Li1 Li 0.0132 0.2593 0.2096 1
Cd1 Cd 0.0000 0.0000 0.0955 1
Cd2 Cd 0.0385 0.7710 0.6316 1
Sn1 Sn 0.0000 0.0000 0.5000 1
```

(8)
Calculated powder diffractogram of CePm8Pr3 for Cu Kα, from a DFT-relaxed cell (GGA-PBE, Alexandria).
No peak broadening, texture or thermal motion is included.

Principal peaks in the range 2θ = 10–80°, by angle:
| d/Å | intensity | h k l |
| --- | --- | --- |
| 3.734 | 62 | 2 1 1 |
| 3.502 | 57 | 2 0 2 |
| 3.121 | 80 | 2 2 0 |
| 2.876 | 68 | 0 0 4 |
| 2.747 | 61 | 2 2 2 |
| 2.511 | 100 | 3 1 2 |
| 2.115 | 48 | 2 2 4 |
| 2.061 | 62 | 4 0 2 |

Cell and atoms:
```
data_CePm8Pr3
_cell_length_a 8.828
_cell_length_b 8.828
_cell_length_c 11.505
_cell_angle_alpha 90.00
_cell_angle_beta 90.00
_cell_angle_gamma 90.00
_symmetry_space_group_name_H-M 'I -4 2 m'
_symmetry_Int_Tables_number 121
_symmetry_space_group_name_Hall 'I -4 2'
loop_
_atom_site_label
_atom_site_type_symbol
_atom_site_fract_x
_atom_site_fract_y
_atom_site_fract_z
_atom_site_occupancy
Ce1 Ce 0.000 0.000 0.000 1
Pm1 Pm 0.122 0.122 0.240 1
Pm2 Pm 0.237 0.237 0.979 1
Pr1 Pr 0.000 0.000 0.500 1
Pr2 Pr 0.000 0.500 0.250 1
```

(9)
Calculated powder diffractogram of Zn2CdFe for Cu Kα, from a DFT-relaxed cell (GGA-PBE, Alexandria).
No peak broadening, texture or thermal motion is included.

Principal peaks in the range 2θ = 10–80°, by angle:
| d/Å | intensity | h k l |
| --- | --- | --- |
| 2.731 | 6 | 1 0 1 |
| 2.604 | 13 | 0 1 3 |
| 2.347 | 61 | 0 2 0 |
| 2.164 | 100 | 1 1 2 |
| 1.659 | 18 | 0 2 4 |
| 1.427 | 6 | 2 0 0 |
| 1.317 | 31 | 1 3 2 |
| 1.219 | 14 | 2 2 0 |

Cell and atoms:
```
data_Zn2CdFe
_cell_length_a 2.854
_cell_length_b 4.691
_cell_length_c 9.392
_cell_angle_alpha 90.00
_cell_angle_beta 90.00
_cell_angle_gamma 90.00
_symmetry_space_group_name_H-M 'I m m m'
_symmetry_Int_Tables_number 71
_symmetry_space_group_name_Hall '-I 2 2'
loop_
_atom_site_label
_atom_site_type_symbol
_atom_site_fract_x
_atom_site_fract_y
_atom_site_fract_z
_atom_site_occupancy
Zn1 Zn 0.000 0.000 0.225 1
Cd1 Cd 0.000 0.500 0.000 1
Fe1 Fe 0.000 0.500 0.500 1
```

(10)
Calculated powder diffractogram of CePaRe for Cu Kα, from a DFT-relaxed cell (GGA-PBE, Alexandria).
No peak broadening, texture or thermal motion is included.

Principal peaks in the range 2θ = 10–80°, by angle:
| d/Å | intensity | h k l |
| --- | --- | --- |
| 4.095 | 6 | 1 0 0 |
| 2.580 | 100 | 1 0 1 |
| 2.364 | 78 | 1 1 0 |
| 1.743 | 32 | 0 2 1 |
| 1.539 | 22 | 0 1 2 |
| 1.403 | 31 | 2 1 1 |
| 1.365 | 14 | 3 0 0 |
| 1.290 | 12 | 2 0 2 |

Cell and atoms:
```
data_CePaRe
_cell_length_a 4.7281
_cell_length_b 4.7281
_cell_length_c 3.3218
_cell_angle_alpha 90.00
_cell_angle_beta 90.00
_cell_angle_gamma 120.00
_symmetry_space_group_name_H-M 'P 3 m 1'
_symmetry_Int_Tables_number 156
_symmetry_space_group_name_Hall 'P 3 -2"'
loop_
_atom_site_label
_atom_site_type_symbol
_atom_site_fract_x
_atom_site_fract_y
_atom_site_fract_z
_atom_site_occupancy
Ce1 Ce 0.0000 0.0000 0.0000 1
Pa1 Pa 0.3333 0.6667 0.6820 1
Re1 Re 0.6667 0.3333 0.3666 1
```